The following is a calculated powder diffraction line list of Na4Cr2H6O11. It was derived from DFT lattice parameters and positions (GGA+U), using λ = 1.5418 Å (Cu Kα).
Lines closer than 0.1° are merged.

Structural model:
```
data_Na4Cr2H6O11
_chemical_formula_sum 'Na32 Cr16 H48 O88'
_cell_length_a 8.7297
_cell_length_b 35.7375
_cell_length_c 6.8796
_cell_angle_alpha 90.00
_cell_angle_beta 90.00
_cell_angle_gamma 90.00
_symmetry_space_group_name_H-M 'F d d 2'
_symmetry_Int_Tables_number 43
_symmetry_space_group_name_Hall 'F 2 -2d'
loop_
_atom_site_label
_atom_site_type_symbol
_atom_site_fract_x
_atom_site_fract_y
_atom_site_fract_z
Na1 Na 0.0434 0.2464 0.0000
Na2 Na 0.0868 0.3448 0.7977
Cr1 Cr 0.0119 0.0614 0.0629
H1 H 0.0240 0.0213 0.4320
H2 H 0.0714 0.1654 0.7319
H3 H 0.0836 0.1348 0.8934
O1 O 0.0000 0.0000 0.5215
O2 O 0.0530 0.3951 0.5636
O3 O 0.1010 0.0521 0.2739
O4 O 0.1086 0.3965 0.0363
O5 O 0.1134 0.2174 0.2880
O6 O 0.1136 0.3062 0.1300
```

Largest 10 diffraction maxima, low angle first, 10 to 80 degrees two-theta:
16.6 deg, intensity 1000; 24.0 deg, intensity 706; 25.3 deg, intensity 368; 27.9 deg, intensity 578; 30.0 deg, intensity 617; 32.1 deg, intensity 449; 33.2 deg, intensity 431; 33.5 deg, intensity 408; 35.8 deg, intensity 409; 53.2 deg, intensity 388